No. 1
Starting from a cell relaxed with PBE, the X-ray diffraction stick pattern of Ho7CdIn4 was computed for Cu Kα X-rays.
Neutral-atom scattering factors, no anomalous dispersion.

Unit cell a=7.716 b=7.716 c=11.096 alpha=124.40 beta=124.40 gamma=42.77
Sites, in units of the cell vectors:
Ho 0.000 0.000 0.000
Ho 0.161 0.161 0.596
Ho 0.283 0.283 0.131
Ho 0.430 0.430 0.671
Ho 0.570 0.570 0.329
Ho 0.717 0.717 0.869
Ho 0.839 0.839 0.404
Cd 0.500 0.500 0.000
In 0.065 0.065 0.776
In 0.202 0.202 0.339
In 0.798 0.798 0.661
In 0.935 0.935 0.224

Most intense lines, 15 to 90 degrees two-theta, in order of rising 2θ:
two_theta  d (Å)  Rel. int.
22.95  3.876  35
31.80  2.814  92
33.53  2.673  60
34.69  2.586  100
35.71  2.514  86
46.88  1.938  47

---

No. 2
Starting from a cell relaxed with PBE, the X-ray diffraction stick pattern of Li7NdCd5 was computed for Cu Kα X-rays.
Neutral-atom scattering factors, no anomalous dispersion.

Unit cell a=7.454 b=7.454 c=7.454 alpha=134.67 beta=97.31 gamma=99.78
Sites, in units of the cell vectors:
Li 0.000 0.000 0.000
Li 0.009 0.657 0.352
Li 0.304 0.657 0.648
Li 0.305 0.305 0.000
Li 0.433 0.149 0.283
Li 0.864 0.364 0.500
Li 0.866 0.149 0.717
Nd 0.651 0.651 0.000
Cd 0.141 0.151 0.493
Cd 0.141 0.648 0.990
Cd 0.453 0.953 0.500
Cd 0.658 0.151 0.010
Cd 0.658 0.648 0.507

Most intense lines, 15 to 90 degrees two-theta, in order of rising 2θ:
two_theta  d (Å)  Rel. int.
18.48  4.802  50
25.89  3.442  100
36.20  2.481  60
36.47  2.464  61
40.95  2.204  32
53.08  1.725  29

---

No. 3
Starting from a cell relaxed with PBE, the X-ray diffraction stick pattern of SmEr3Pd2 was computed for Cu Kα X-rays.
Neutral-atom scattering factors, no anomalous dispersion.

Unit cell a=3.778 b=9.641 c=8.530 alpha=90.00 beta=90.00 gamma=90.00
Sites, in units of the cell vectors:
Sm 0.000 0.070 0.000
Sm 0.000 0.930 0.500
Er 0.000 0.291 0.654
Er 0.000 0.709 0.154
Er 0.500 0.216 0.321
Er 0.500 0.433 0.978
Er 0.500 0.567 0.478
Er 0.500 0.784 0.821
Pd 0.000 0.424 0.252
Pd 0.000 0.576 0.752
Pd 0.500 0.082 0.723
Pd 0.500 0.918 0.223

Most intense lines, 15 to 90 degrees two-theta, in order of rising 2θ:
two_theta  d (Å)  Rel. int.
29.71  3.007  42
31.87  2.808  46
32.84  2.727  44
33.01  2.714  100
38.25  2.353  53
48.18  1.889  25

---

No. 4
Starting from a cell relaxed with PBE, the X-ray diffraction stick pattern of CuNi2Sn was computed for Cu Kα X-rays.
Neutral-atom scattering factors, no anomalous dispersion.

Unit cell a=4.343 b=5.518 c=4.467 alpha=90.00 beta=90.00 gamma=90.00
Sites, in units of the cell vectors:
Cu 0.250 0.250 0.210
Cu 0.750 0.750 0.790
Ni 0.250 0.000 0.692
Ni 0.250 0.500 0.692
Ni 0.750 0.000 0.308
Ni 0.750 0.500 0.308
Sn 0.250 0.750 0.197
Sn 0.750 0.250 0.803

Most intense lines, 15 to 90 degrees two-theta, in order of rising 2θ:
two_theta  d (Å)  Rel. int.
40.38  2.234  22
41.59  2.172  33
43.84  2.065  100
45.67  1.986  18
59.36  1.557  14
77.45  1.232  18

---

No. 5
Starting from a cell relaxed with PBE, the X-ray diffraction stick pattern of Sr2CaPuO6 was computed for Cu Kα X-rays.
Neutral-atom scattering factors, no anomalous dispersion.

Unit cell a=5.945 b=6.107 c=10.350 alpha=90.00 beta=124.99 gamma=90.00
Sites, in units of the cell vectors:
Sr 0.235 0.048 0.248
Sr 0.235 0.452 0.748
Sr 0.765 0.548 0.252
Sr 0.765 0.952 0.752
Ca 0.000 0.000 0.500
Ca 0.000 0.500 0.000
Pu 0.500 0.000 0.000
Pu 0.500 0.500 0.500
O 0.173 0.188 0.953
O 0.173 0.312 0.453
O 0.253 0.722 0.940
O 0.253 0.778 0.440
O 0.367 0.041 0.767
O 0.367 0.459 0.267
O 0.633 0.541 0.733
O 0.633 0.959 0.233
O 0.747 0.222 0.560
O 0.747 0.278 0.060
O 0.827 0.688 0.547
O 0.827 0.812 0.047

Most intense lines, 15 to 90 degrees two-theta, in order of rising 2θ:
two_theta  d (Å)  Rel. int.
17.90  4.956  39
18.23  4.867  36
29.25  3.054  24
29.73  3.005  100
42.44  2.130  25
53.18  1.722  24

---

No. 6
Starting from a cell relaxed with PBE, the X-ray diffraction stick pattern of Mg11In9Ga4 was computed for Cu Kα X-rays.
Neutral-atom scattering factors, no anomalous dispersion.

Unit cell a=13.254 b=13.254 c=3.405 alpha=90.00 beta=90.00 gamma=115.46
Sites, in units of the cell vectors:
Mg 0.000 0.000 0.000
Mg 0.058 0.411 0.000
Mg 0.156 0.844 0.000
Mg 0.302 0.302 0.000
Mg 0.366 0.634 0.000
Mg 0.411 0.058 0.000
Mg 0.589 0.942 0.000
Mg 0.634 0.366 0.000
Mg 0.698 0.698 0.000
Mg 0.844 0.156 0.000
Mg 0.942 0.589 0.000
In 0.066 0.217 0.500
In 0.151 0.631 0.500
In 0.217 0.066 0.500
In 0.369 0.849 0.500
In 0.500 0.500 0.500
In 0.631 0.151 0.500
In 0.783 0.934 0.500
In 0.849 0.369 0.500
In 0.934 0.783 0.500
Ga 0.247 0.449 0.500
Ga 0.449 0.247 0.500
Ga 0.551 0.753 0.500
Ga 0.753 0.551 0.500

Most intense lines, 15 to 90 degrees two-theta, in order of rising 2θ:
two_theta  d (Å)  Rel. int.
23.82  3.736  45
26.17  3.405  70
34.93  2.569  100
35.68  2.517  85
36.63  2.453  96
44.16  2.051  51

---

No. 7
Starting from a cell relaxed with PBE, the X-ray diffraction stick pattern of NdY2Ho4Tm2 was computed for Cu Kα X-rays.
Neutral-atom scattering factors, no anomalous dispersion.

Unit cell a=5.990 b=6.620 c=8.585 alpha=79.76 beta=70.30 gamma=63.75
Sites, in units of the cell vectors:
Nd 0.000 0.000 0.000
Y 0.269 0.672 0.656
Y 0.731 0.328 0.344
Ho 0.270 0.417 0.120
Ho 0.377 0.871 0.243
Ho 0.623 0.129 0.757
Ho 0.730 0.583 0.880
Tm 0.183 0.227 0.554
Tm 0.817 0.773 0.446

Most intense lines, 15 to 90 degrees two-theta, in order of rising 2θ:
two_theta  d (Å)  Rel. int.
29.84  2.994  41
31.77  2.816  62
31.95  2.801  53
32.21  2.779  100
32.35  2.768  53
57.06  1.614  23

---

No. 8
Starting from a cell relaxed with PBE, the X-ray diffraction stick pattern of Dy3ThSc5 was computed for Cu Kα X-rays.
Neutral-atom scattering factors, no anomalous dispersion.

Unit cell a=9.306 b=9.306 c=3.347 alpha=90.00 beta=90.00 gamma=120.00
Sites, in units of the cell vectors:
Dy 0.000 0.365 0.000
Dy 0.365 0.000 0.000
Dy 0.635 0.635 0.000
Th 0.000 0.000 0.000
Sc 0.000 0.686 0.500
Sc 0.314 0.314 0.500
Sc 0.333 0.667 0.500
Sc 0.667 0.333 0.500
Sc 0.686 0.000 0.500

Most intense lines, 15 to 90 degrees two-theta, in order of rising 2θ:
two_theta  d (Å)  Rel. int.
19.07  4.653  41
22.06  4.029  29
32.97  2.717  73
33.35  2.686  100
34.85  2.575  39
40.02  2.253  29

---

No. 9
Starting from a cell relaxed with PBE, the X-ray diffraction stick pattern of LiNd2IrO5 was computed for Cu Kα X-rays.
Neutral-atom scattering factors, no anomalous dispersion.

Unit cell a=6.663 b=6.663 c=6.663 alpha=144.73 beta=127.13 gamma=65.16
Sites, in units of the cell vectors:
Li 0.000 0.000 0.000
Nd 0.289 0.789 0.500
Nd 0.711 0.211 0.500
Ir 0.500 0.500 0.000
O 0.129 0.357 0.772
O 0.414 0.643 0.772
O 0.500 0.000 0.500
O 0.586 0.357 0.228
O 0.871 0.643 0.228

Most intense lines, 15 to 90 degrees two-theta, in order of rising 2θ:
two_theta  d (Å)  Rel. int.
16.90  5.245  93
30.13  2.966  28
31.18  2.869  100
43.07  2.100  25
44.97  2.016  50
54.17  1.693  22

---

No. 10
Starting from a cell relaxed with PBE, the X-ray diffraction stick pattern of Ho3Sb was computed for Cu Kα X-rays.
Neutral-atom scattering factors, no anomalous dispersion.

Unit cell a=12.328 b=12.328 c=6.146 alpha=90.00 beta=90.00 gamma=90.00
Sites, in units of the cell vectors:
Ho 0.036 0.577 0.233
Ho 0.077 0.964 0.733
Ho 0.106 0.219 0.035
Ho 0.141 0.667 0.713
Ho 0.167 0.859 0.213
Ho 0.219 0.394 0.465
Ho 0.281 0.106 0.465
Ho 0.333 0.641 0.213
Ho 0.359 0.833 0.713
Ho 0.394 0.281 0.035
Ho 0.423 0.536 0.733
Ho 0.464 0.923 0.233
Ho 0.536 0.077 0.767
Ho 0.577 0.464 0.267
Ho 0.606 0.719 0.965
Ho 0.641 0.167 0.287
Ho 0.667 0.359 0.787
Ho 0.719 0.894 0.535
Ho 0.781 0.606 0.535
Ho 0.833 0.141 0.787
Ho 0.859 0.333 0.287
Ho 0.894 0.781 0.965
Ho 0.923 0.036 0.267
Ho 0.964 0.423 0.767
Sb 0.050 0.207 0.540
Sb 0.207 0.450 0.960
Sb 0.293 0.050 0.960
Sb 0.450 0.293 0.540
Sb 0.550 0.707 0.460
Sb 0.707 0.950 0.040
Sb 0.793 0.550 0.040
Sb 0.950 0.793 0.460

Most intense lines, 15 to 90 degrees two-theta, in order of rising 2θ:
two_theta  d (Å)  Rel. int.
29.91  2.988  83
30.82  2.902  100
32.50  2.755  71
33.33  2.688  84
35.74  2.513  39
37.23  2.415  75

---

No. 11
Starting from a cell relaxed with PBE, the X-ray diffraction stick pattern of H5Rh3Pb2 was computed for Cu Kα X-rays.
Neutral-atom scattering factors, no anomalous dispersion.

Unit cell a=5.738 b=7.043 c=7.200 alpha=109.72 beta=95.77 gamma=113.11
Sites, in units of the cell vectors:
H 0.032 0.107 0.278
H 0.239 0.495 0.255
H 0.298 0.815 0.692
H 0.320 0.016 0.525
H 0.427 0.328 0.016
H 0.573 0.672 0.984
H 0.680 0.984 0.475
H 0.702 0.185 0.308
H 0.761 0.505 0.745
H 0.968 0.893 0.722
Rh 0.253 0.491 0.012
Rh 0.278 0.068 0.782
Rh 0.367 0.756 0.456
Rh 0.633 0.244 0.544
Rh 0.722 0.932 0.218
Rh 0.747 0.509 0.988
Pb 0.205 0.889 0.080
Pb 0.216 0.396 0.598
Pb 0.784 0.604 0.402
Pb 0.795 0.111 0.920

Most intense lines, 15 to 90 degrees two-theta, in order of rising 2θ:
two_theta  d (Å)  Rel. int.
24.13  3.688  100
31.39  2.850  62
32.94  2.719  53
34.53  2.597  56
35.32  2.542  88
37.72  2.385  53

---

No. 12
Starting from a cell relaxed with PBE, the X-ray diffraction stick pattern of GeSb5I2 was computed for Cu Kα X-rays.
Neutral-atom scattering factors, no anomalous dispersion.

Unit cell a=6.024 b=6.029 c=9.305 alpha=106.46 beta=107.65 gamma=95.34
Sites, in units of the cell vectors:
Ge 0.000 0.000 0.000
Sb 0.120 0.772 0.432
Sb 0.132 0.204 0.337
Sb 0.620 0.615 0.237
Sb 0.659 0.311 0.433
Sb 0.766 0.820 0.587
I 0.016 0.416 0.934
I 0.518 0.916 0.934

Most intense lines, 15 to 90 degrees two-theta, in order of rising 2θ:
two_theta  d (Å)  Rel. int.
15.74  5.630  23
21.22  4.188  40
22.46  3.958  32
29.78  3.000  100
30.68  2.914  63
31.79  2.815  39